For MgTi2Zn2Si2O10, a cell relaxed with PBE gives the calculated powder diffraction line list in this record (Cu Kα).
Neutral-atom scattering factors, no anomalous dispersion.

Structural model:
```
data_MgTi2Zn2Si2O10
_chemical_formula_sum 'Mg1 Ti2 Zn2 Si2 O10'
_space_group_name_H-M_alt 'P 1'
_space_group_IT_number 1
_space_group_name_Hall 'P 1'
_cell_length_a 5.555
_cell_length_b 5.574
_cell_length_c 7.386
_cell_angle_alpha 105.70
_cell_angle_beta 107.33
_cell_angle_gamma 95.58
loop_
_atom_site_label
_atom_site_type_symbol
_atom_site_fract_x
_atom_site_fract_y
_atom_site_fract_z
Mg1 Mg 0.000 0.000 0.000
Ti1 Ti 0.819 0.618 0.162
Ti2 Ti 0.821 0.609 0.636
Zn1 Zn 0.272 0.539 0.039
Zn2 Zn 0.681 0.059 0.520
Si1 Si 0.173 0.248 0.399
Si2 Si 0.461 0.998 0.896
O1 O 0.090 0.371 0.208
O2 O 0.110 0.944 0.274
O3 O 0.154 0.921 0.780
O4 O 0.481 0.333 0.528
O5 O 0.522 0.306 0.023
O6 O 0.537 0.828 0.052
O7 O 0.664 0.955 0.771
O8 O 0.730 0.723 0.404
O9 O 0.923 0.595 0.915
O10 O 0.984 0.315 0.532
```

The 10 most intense peaks (5 to 70 degrees two-theta), by angle:
Position (°2θ), I_rel
17.7, 34
24.6, 52
25.0, 51
26.3, 69
26.7, 100
28.5, 22
34.1, 22
35.4, 26
41.6, 23
49.5, 26